# Rb3Zn3Mo4O16
Computed powder X-ray diffraction pattern, copper Kα. Input: a cell relaxed with PBE+U.
Intensities are scaled so that the largest is 1000.

Principal peaks in the range 2θ from 15° to 90°, sorted by position:
| 2θ (°) | I/Imax |
| --- | --- |
| 17.75 | 63 |
| 27.26 | 1000 |
| 32.71 | 169 |
| 34.36 | 67 |
| 35.94 | 62 |
| 40.35 | 198 |
| 50.56 | 120 |
| 51.73 | 102 |
| 54.01 | 80 |
| 56.23 | 68 |
| 59.45 | 140 |
| 67.58 | 67 |

Cell and atoms:
```
52
Lattice="-6.1214 6.1214 6.1214 6.1214 -6.1214 6.1214 6.1214 6.1214 -6.1214" Properties=species:S:1:pos:R:3 pbc="T T T"
Rb 6.1214 -3.0607 4.5910
Rb 4.5910 6.1214 -3.0607
Rb 6.1214 3.0607 1.5303
Rb 3.0607 1.5303 6.1214
Rb 1.5303 6.1214 3.0607
Rb -3.0607 4.5910 6.1214
Zn 9.1820 1.5303 0.0000
Zn 4.5910 0.0000 3.0607
Zn 3.0607 4.5910 0.0000
Zn 0.0000 3.0607 4.5910
Zn 1.5303 0.0000 9.1820
Zn 0.0000 9.1820 1.5303
Mo 4.3555 1.7659 -1.7659
Mo 7.4161 -1.2948 1.2948
Mo 1.7659 -1.7659 4.3555
Mo 1.7659 1.7659 1.7659
Mo -1.7659 4.3555 1.7659
Mo 1.2948 7.4161 -1.2948
Mo -1.2948 1.2948 7.4161
Mo 4.8266 4.8266 4.8266
O 5.3703 0.7511 -0.7511
O 8.4309 -2.3096 2.3096
O 5.7481 -1.2212 2.0551
O 7.1269 4.2819 -3.4339
O 0.7511 0.7511 0.7511
O 8.1765 0.3732 1.2212
O 7.9608 2.6874 -1.0055
O 4.2819 3.4339 -1.0055
O 3.4339 1.0055 1.8395
O 3.4339 -1.0055 4.2819
O 4.2819 -3.4339 7.1269
O 1.8395 3.4339 1.0055
O 2.0551 5.7481 -1.2212
O 0.7511 -0.7511 5.3703
O 1.0055 1.8395 3.4339
O 5.7481 1.2212 4.0662
O -0.7511 5.3703 0.7511
O 2.3096 8.4309 -2.3096
O 2.6874 -1.0055 7.9608
O 4.0662 5.7481 1.2212
O 3.8118 3.8118 3.8118
O -1.0055 4.2819 3.4339
O -1.2212 2.0551 5.7481
O 1.2212 8.1765 0.3732
O 6.4946 4.9001 4.0662
O 0.3732 1.2212 8.1765
O 1.2212 4.0662 5.7481
O 4.9001 4.0662 6.4946
O -1.0055 7.9608 2.6874
O -2.3096 2.3096 8.4309
O 4.0662 6.4946 4.9001
O -3.4339 7.1269 4.2819
```